[1]
Structure and calculated X-ray powder pattern of CsTmCoS3 (the GGA-PBE geometry in the Materials Project; Cu Kα X-rays).
Kinematic intensities with the Lorentz-polarization factor, no thermal factor.

The 6 most intense peaks (10 to 80 degrees two-theta), by angle:
2θ/deg	d_spacing	I/Imax	hkl
11.36	7.788	77	0 2 0
20.53	4.325	100	0 2 2
22.84	3.894	63	0 4 0
29.06	3.072	52	1 1 2
29.79	2.999	78	1 3 1
40.84	2.209	56	1 5 2

a = 3.9270 Å, b = 15.5750 Å, c = 10.4027 Å
α = 90.00°, β = 90.00°, γ = 90.00°
Space group Cmcm (No. 63)
Unique sites:
1 Cs 0.0000 0.2378 0.2500 [4 per cell]
2 Tm 0.0000 0.5000 0.0000 [4 per cell]
3 Co 0.0000 0.0364 0.7500 [4 per cell]
4 S 0.0000 0.1118 0.5643 [8 per cell]
5 S 0.0000 0.4538 0.7500 [4 per cell]

---

[2]
Structure and calculated X-ray powder pattern of Er2Co3Cu (the GGA-PBE geometry in the Materials Project; Cu Kα X-rays).
Kinematic intensities with the Lorentz-polarization factor, no thermal factor.

The 6 most intense peaks (10 to 80 degrees two-theta), by angle:
2θ/deg	d_spacing	I/Imax	hkl
35.31	2.542	69	1 0 4
35.75	2.511	73	1 1 0
41.59	2.171	63	0 1 5
41.98	2.152	100	1 1 3
42.17	2.143	51	0 2 1
68.23	1.375	28	1 2 5

a = 5.0227 Å, b = 5.0227 Å, c = 12.5284 Å
α = 90.00°, β = 90.00°, γ = 120.00°
Space group R-3m (No. 166, hexagonal axes)
Unique sites:
1 Er 0.0000 0.0000 0.1217 [6 per cell]
2 Co 0.0000 0.5000 0.0000 [9 per cell]
3 Cu 0.0000 0.0000 0.5000 [3 per cell]

---

[3]
Structure and calculated X-ray powder pattern of Co2CuGe2 (the GGA-PBE geometry in the Materials Project; Cu Kα X-rays).
Kinematic intensities with the Lorentz-polarization factor, no thermal factor.

The 6 most intense peaks (10 to 80 degrees two-theta), by angle:
2θ/deg	d_spacing	I/Imax	hkl
32.16	2.783	23	1 1 1
35.51	2.528	11	0 1 2
39.93	2.258	12	1 1 2
45.18	2.007	100	2 1 1
47.06	1.931	83	0 2 0
67.29	1.391	25	2 0 4

a = 5.0175 Å, b = 3.8648 Å, c = 6.6844 Å
α = 90.00°, β = 90.00°, γ = 90.00°
Space group Pmma (No. 51)
Unique sites:
1 Co 0.0000 0.0000 0.0000 [2 per cell]
2 Co 0.2500 0.0000 0.3395 [2 per cell]
3 Cu 0.0000 0.5000 0.5000 [2 per cell]
4 Ge 0.2500 0.0000 0.6958 [2 per cell]
5 Ge 0.2500 0.5000 0.1220 [2 per cell]

---

[4]
Structure and calculated X-ray powder pattern of UCoCuGe2 (the GGA-PBE geometry in the Materials Project; Cu Kα X-rays).
Kinematic intensities with the Lorentz-polarization factor, no thermal factor.

The 6 most intense peaks (10 to 80 degrees two-theta), by angle:
2θ/deg	d_spacing	I/Imax	hkl
31.36	2.852	32	1 1 0
35.26	2.546	84	1 0 3
36.41	2.467	100	1 1 2
44.95	2.017	50	2 0 0
51.66	1.770	30	1 0 5
58.38	1.581	40	2 1 3

a = 4.0335 Å, b = 4.0335 Å, c = 9.8455 Å
α = 90.00°, β = 90.00°, γ = 90.00°
Space group I-4m2 (No. 119)
Unique sites:
1 U 0.0000 0.0000 0.0000 [2 per cell]
2 Co 0.0000 0.5000 0.7500 [2 per cell]
3 Cu 0.0000 0.5000 0.2500 [2 per cell]
4 Ge 0.0000 0.0000 0.3766 [4 per cell]

---

[5]
Structure and calculated X-ray powder pattern of HoCo4Cu (the GGA-PBE geometry in the Materials Project; Cu Kα X-rays).
Kinematic intensities with the Lorentz-polarization factor, no thermal factor.

The 6 most intense peaks (10 to 80 degrees two-theta), by angle:
2θ/deg	d_spacing	I/Imax	hkl
30.79	2.904	51	1 0 1
36.62	2.454	34	1 1 0
42.54	2.125	33	2 0 0
43.33	2.088	100	1 1 1
45.62	1.988	26	0 0 2
70.57	1.335	22	3 0 1

a = 4.9078 Å, b = 4.9078 Å, c = 3.9770 Å
α = 90.00°, β = 90.00°, γ = 120.00°
Space group P-6m2 (No. 187)
Unique sites:
1 Ho 0.0000 0.0000 0.0000 [1 per cell]
2 Co 0.5008 0.0017 0.5000 [3 per cell]
3 Co 0.6667 0.3333 0.0000 [1 per cell]
4 Cu 0.3333 0.6667 0.0000 [1 per cell]

---

[6]
Structure and calculated X-ray powder pattern of LaCoCu12 (the GGA-PBE geometry in the Materials Project; Cu Kα X-rays).
Kinematic intensities with the Lorentz-polarization factor, no thermal factor.

The 6 most intense peaks (10 to 80 degrees two-theta), by angle:
2θ/deg	d_spacing	I/Imax	hkl
34.80	2.578	43	4 2 0
38.24	2.353	75	4 2 2
46.60	1.949	100	5 3 1
47.30	1.922	18	6 0 0
50.03	1.823	17	6 2 0
60.05	1.541	14	6 4 2

a = 11.5297 Å, b = 11.5297 Å, c = 11.5297 Å
α = 90.00°, β = 90.00°, γ = 90.00°
Space group Fm-3c (No. 226)
Unique sites:
1 La 0.2500 0.2500 0.2500 [8 per cell]
2 Co 0.0000 0.0000 0.0000 [8 per cell]
3 Cu 0.0000 0.1169 0.1791 [96 per cell]

---

[7]
Structure and calculated X-ray powder pattern of Lu2CoCu (the GGA-PBE geometry in the Materials Project; Cu Kα X-rays).
Kinematic intensities with the Lorentz-polarization factor, no thermal factor.

The 6 most intense peaks (10 to 80 degrees two-theta), by angle:
2θ/deg	d_spacing	I/Imax	hkl
26.83	3.323	25	2 0 0
38.30	2.350	100	2 2 0
47.38	1.919	8	2 2 2
55.28	1.662	17	4 0 0
62.49	1.486	11	4 2 0
69.25	1.357	34	4 2 2

a = 6.6467 Å, b = 6.6467 Å, c = 6.6467 Å
α = 90.00°, β = 90.00°, γ = 90.00°
Space group Fm-3m (No. 225)
Unique sites:
1 Lu 0.2500 0.2500 0.2500 [8 per cell]
2 Co 0.0000 0.0000 0.0000 [4 per cell]
3 Cu 0.0000 0.0000 0.5000 [4 per cell]

---

[8]
Structure and calculated X-ray powder pattern of Mg6CoCu (the GGA-PBE geometry in the Materials Project; Cu Kα X-rays).
Kinematic intensities with the Lorentz-polarization factor, no thermal factor.

The 6 most intense peaks (10 to 80 degrees two-theta), by angle:
2θ/deg	d_spacing	I/Imax	hkl
16.09	5.509	17	0 1 1
25.40	3.507	15	1 1 1
37.98	2.369	20	0 0 4
38.20	2.356	100	1 2 2
39.64	2.274	26	2 0 0
70.98	1.328	15	3 2 2

a = 4.5472 Å, b = 6.7700 Å, c = 9.4757 Å
α = 90.00°, β = 90.00°, γ = 90.00°
Space group Amm2 (No. 38)
Unique sites:
1 Mg 0.0000 0.0000 0.0000 [2 per cell]
2 Mg 0.0000 0.2165 0.2535 [4 per cell]
3 Mg 0.5000 0.0000 0.7368 [2 per cell]
4 Mg 0.5000 0.2207 0.4779 [4 per cell]
5 Co 0.5000 0.0000 0.2087 [2 per cell]
6 Cu 0.0000 0.0000 0.5253 [2 per cell]

---

[9]
Structure and calculated X-ray powder pattern of Mg6CoCu (the GGA-PBE geometry in the Materials Project; Cu Kα X-rays).
Kinematic intensities with the Lorentz-polarization factor, no thermal factor.

The 6 most intense peaks (10 to 80 degrees two-theta), by angle:
2θ/deg	d_spacing	I/Imax	hkl
17.40	5.096	24	0 0 2
34.31	2.614	30	0 2 2
38.23	2.354	36	2 0 0
39.43	2.285	100	1 2 2
40.24	2.241	47	1 0 4
52.30	1.749	17	2 2 2

a = 4.7083 Å, b = 6.0900 Å, c = 10.1922 Å
α = 90.00°, β = 90.00°, γ = 90.00°
Space group Amm2 (No. 38)
Unique sites:
1 Mg 0.0000 0.0000 0.0000 [2 per cell]
2 Mg 0.0000 0.0000 0.4967 [2 per cell]
3 Mg 0.0000 0.2447 0.2341 [4 per cell]
4 Mg 0.5000 0.2488 0.9086 [4 per cell]
5 Co 0.5000 0.0000 0.1575 [2 per cell]
6 Cu 0.5000 0.0000 0.6575 [2 per cell]

---

[10]
Structure and calculated X-ray powder pattern of MgCoCu3Se4 (the GGA-PBE geometry in the Materials Project; Cu Kα X-rays).
Kinematic intensities with the Lorentz-polarization factor, no thermal factor.

The 6 most intense peaks (10 to 80 degrees two-theta), by angle:
2θ/deg	d_spacing	I/Imax	hkl
15.46	5.731	30	1 0 0
26.95	3.309	95	1 1 1
44.73	2.026	100	2 2 0
52.99	1.728	41	3 1 1
65.10	1.433	15	4 0 0
71.80	1.315	16	3 3 1

a = 5.7310 Å, b = 5.7310 Å, c = 5.7310 Å
α = 90.00°, β = 90.00°, γ = 90.00°
Space group P-43m (No. 215)
Unique sites:
1 Mg 0.0000 0.0000 0.0000 [1 per cell]
2 Co 0.5000 0.5000 0.5000 [1 per cell]
3 Cu 0.0000 0.5000 0.5000 [3 per cell]
4 Se 0.2580 0.2580 0.7420 [4 per cell]

---

[11]
Structure and calculated X-ray powder pattern of SmMnCo3Cu (the GGA-PBE geometry in the Materials Project; Cu Kα X-rays).
Kinematic intensities with the Lorentz-polarization factor, no thermal factor.

The 6 most intense peaks (10 to 80 degrees two-theta), by angle:
2θ/deg	d_spacing	I/Imax	hkl
30.23	2.956	50	1 0 1
35.93	2.500	32	1 1 0
41.73	2.165	35	2 0 0
42.51	2.127	100	1 1 1
44.80	2.023	27	0 0 2
69.10	1.359	22	3 0 1

a = 4.9992 Å, b = 4.9992 Å, c = 4.0464 Å
α = 90.00°, β = 90.00°, γ = 120.00°
Space group P-6m2 (No. 187)
Unique sites:
1 Sm 0.0000 0.0000 0.0000 [1 per cell]
2 Mn 0.6667 0.3333 0.0000 [1 per cell]
3 Co 0.0020 0.5010 0.5000 [3 per cell]
4 Cu 0.3333 0.6667 0.0000 [1 per cell]

---

[12]
Structure and calculated X-ray powder pattern of MnCoCuSn (the GGA-PBE geometry in the Materials Project; Cu Kα X-rays).
Kinematic intensities with the Lorentz-polarization factor, no thermal factor.

The 6 most intense peaks (10 to 80 degrees two-theta), by angle:
2θ/deg	d_spacing	I/Imax	hkl
25.36	3.512	11	1 1 1
42.01	2.151	100	2 2 0
49.71	1.834	6	3 1 1
60.92	1.521	16	4 0 0
67.07	1.395	3	3 3 1
76.77	1.242	32	4 2 2

a = 6.0826 Å, b = 6.0826 Å, c = 6.0826 Å
α = 90.00°, β = 90.00°, γ = 90.00°
Space group F-43m (No. 216)
Unique sites:
1 Mn 0.0000 0.0000 0.0000 [4 per cell]
2 Co 0.2500 0.2500 0.2500 [4 per cell]
3 Cu 0.2500 0.2500 0.7500 [4 per cell]
4 Sn 0.0000 0.0000 0.5000 [4 per cell]

---

[13]
Structure and calculated X-ray powder pattern of Co2CuN2 (the GGA-PBE geometry in the Materials Project; Cu Kα X-rays).
Kinematic intensities with the Lorentz-polarization factor, no thermal factor.

The 6 most intense peaks (10 to 80 degrees two-theta), by angle:
2θ/deg	d_spacing	I/Imax	hkl
39.25	2.295	95	0 3 1
39.77	2.266	94	1 3 0
45.79	1.981	51	0 6 0
46.02	1.972	100	1 0 1
66.94	1.398	57	1 6 1
67.84	1.381	14	2 0 0

a = 2.7629 Å, b = 11.8886 Å, c = 2.8159 Å
α = 90.00°, β = 90.00°, γ = 90.00°
Space group Pmmn (No. 59, origin choice 2)
Unique sites:
1 Co 0.2500 0.0867 0.2189 [4 per cell]
2 Cu 0.2500 0.7500 0.2599 [2 per cell]
3 N 0.2500 0.5871 0.2321 [4 per cell]